TlSnP2S8: theoretical powder XRD pattern (CuKα), based on a PBE-relaxed structure.

Structure:
```
data_TlSnP2S8
_chemical_formula_sum 'Tl3 Sn3 P6 S24'
_symmetry_space_group_name_H-M 'R -3'
_symmetry_Int_Tables_number 148
_symmetry_space_group_name_Hall '-R 3'
_cell_length_a 6.0210
_cell_length_b 6.0210
_cell_length_c 27.9856
_cell_angle_alpha 90.00
_cell_angle_beta 90.00
_cell_angle_gamma 120.00
loop_
_atom_site_label
_atom_site_fract_x
_atom_site_fract_y
_atom_site_fract_z
Tl1 0.0000 0.0000 0.0000
Sn1 0.0000 0.0000 0.5000
P1 0.0000 0.0000 0.2436
S1 0.0000 0.0000 0.3156
S2 0.0065 0.3536 0.5565
```

Peak list (6 most intense, 10 to 90 degrees two-theta, sorted by position)
| 2θ (°) | I_rel | h k l |
| --- | --- | --- |
| 18.2 | 39 | 0 1 2 |
| 21.3 | 100 | 1 0 4 |
| 29.7 | 39 | 1 1 0 |
| 31.2 | 31 | 1 1 3 |
| 35.5 | 61 | 2 -1 6 |
| 49.4 | 32 | 1 1 12 |

=====

Be9CrMo2: theoretical powder XRD pattern (CuKα), based on a PBE-relaxed structure.

Structure:
```
data_Be9CrMo2
_chemical_formula_sum 'Be18 Cr2 Mo4'
_symmetry_space_group_name_H-M 'P 63/m m c'
_symmetry_Int_Tables_number 194
_symmetry_space_group_name_Hall '-P 6c 2c'
_cell_length_a 4.3858
_cell_length_b 4.3858
_cell_length_c 13.8513
_cell_angle_alpha 90.00
_cell_angle_beta 90.00
_cell_angle_gamma 120.00
loop_
_atom_site_label
_atom_site_fract_x
_atom_site_fract_y
_atom_site_fract_z
Be1 0.0000 0.0000 0.0000
Be2 0.0000 0.0000 0.2500
Be3 0.1684 0.3368 0.1274
Be4 0.3333 0.6667 0.2500
Cr1 0.3333 0.6667 0.7500
Mo1 0.3333 0.6667 0.5322
```

Peak list (6 most intense, 10 to 90 degrees two-theta, sorted by position)
| 2θ (°) | I_rel | h k l |
| --- | --- | --- |
| 12.8 | 100 | 0 0 2 |
| 23.4 | 66 | 1 0 0 |
| 24.3 | 45 | 1 0 1 |
| 40.3 | 97 | 1 0 5 |
| 41.2 | 80 | 1 1 0 |
| 49.2 | 67 | 1 1 4 |

=====

Please write out number 2 again, unchanged.
Be9CrMo2: theoretical powder XRD pattern (CuKα), based on a PBE-relaxed structure.

Structure:
```
data_Be9CrMo2
_chemical_formula_sum 'Be18 Cr2 Mo4'
_symmetry_space_group_name_H-M 'P 63/m m c'
_symmetry_Int_Tables_number 194
_symmetry_space_group_name_Hall '-P 6c 2c'
_cell_length_a 4.3858
_cell_length_b 4.3858
_cell_length_c 13.8513
_cell_angle_alpha 90.00
_cell_angle_beta 90.00
_cell_angle_gamma 120.00
loop_
_atom_site_label
_atom_site_fract_x
_atom_site_fract_y
_atom_site_fract_z
Be1 0.0000 0.0000 0.0000
Be2 0.0000 0.0000 0.2500
Be3 0.1684 0.3368 0.1274
Be4 0.3333 0.6667 0.2500
Cr1 0.3333 0.6667 0.7500
Mo1 0.3333 0.6667 0.5322
```

Peak list (6 most intense, 10 to 90 degrees two-theta, sorted by position)
| 2θ (°) | I_rel | h k l |
| --- | --- | --- |
| 12.8 | 100 | 0 0 2 |
| 23.4 | 66 | 1 0 0 |
| 24.3 | 45 | 1 0 1 |
| 40.3 | 97 | 1 0 5 |
| 41.2 | 80 | 1 1 0 |
| 49.2 | 67 | 1 1 4 |